Simulated powder diffraction line list
Compound: In3CN
Radiation: Cu Kα (weighted mean of Kα1 and Kα2)
Structure: a PBE-relaxed structure

Top 10 peaks for 10° ≤ 2θ ≤ 90°, by angle:
2θ/deg  Rel. int.  h k l
19.29  32  1 0 0
27.41  17  1 1 0
33.74  100  1 1 1
39.16  55  2 0 0
44.00  15  2 1 0
48.46  8  2 1 1
56.57  36  2 2 0
60.35  7  3 0 0
67.52  38  3 1 1
70.96  12  2 2 2

Atomic structure:
abc: 4.6012 4.6012 4.6012
angles: 90.00 90.00 90.00
Element x y z (fractional)
1 In 0.0000 0.0000 0.5000
2 In 0.0000 0.5000 0.0000
3 In 0.5000 0.0000 0.0000
4 C 0.0000 0.0000 0.0000
5 N 0.5000 0.5000 0.5000